No. 1
U3CdPt: theoretical X-ray diffraction stick pattern (Cu Kα (λ = 1.5418 Å)), based on a DFT-relaxed cell (GGA-PBE, OQMD).
No peak broadening, texture or thermal motion is included.

Most intense lines, 2θ from 5° to 70°, by angle:
2θ (°)	I_rel
10.68	100
21.46	8
32.43	53
32.86	14
35.93	85
37.59	66
42.23	26
49.17	65
57.83	28
64.59	22

Cell lengths 5.7718, 5.7718, 8.2822 Å; angles 90.00, 90.00, 120.00 degrees
Sites, in units of the cell vectors:
1 U 0.0000 0.4756 0.1505
2 U 0.0000 0.5244 0.8495
3 U 0.4756 0.0000 0.1505
4 U 0.4756 0.4756 0.8495
5 U 0.5244 0.0000 0.8495
6 U 0.5244 0.5244 0.1505
7 Cd 0.3333 0.6667 0.5000
8 Cd 0.6667 0.3333 0.5000
9 Pt 0.0000 0.0000 0.1787
10 Pt 0.0000 0.0000 0.8213

---

No. 2
PuCd11: theoretical X-ray diffraction stick pattern (Cu Kα (λ = 1.5418 Å)), based on a DFT-relaxed cell (GGA-PBE, OQMD).
No peak broadening, texture or thermal motion is included.

Most intense lines, 2θ from 5° to 70°, by angle:
2θ (°)	I_rel
30.35	33
31.87	100
33.33	76
34.74	40
39.92	60
41.13	44
44.59	45
55.85	22
58.65	23
66.62	20

Cell lengths 9.3117, 9.3117, 9.3117 Å; angles 90.00, 90.00, 90.00 degrees
Sites, in units of the cell vectors:
1 Pu 0.0000 0.0000 0.5000
2 Pu 0.0000 0.5000 0.0000
3 Pu 0.5000 0.0000 0.0000
4 Cd 0.0000 0.3440 0.3440
5 Cd 0.0000 0.3440 0.6560
6 Cd 0.0000 0.6560 0.3440
7 Cd 0.0000 0.6560 0.6560
8 Cd 0.1562 0.1562 0.1562
9 Cd 0.1562 0.1562 0.8438
10 Cd 0.1562 0.8438 0.1562
11 Cd 0.1562 0.8438 0.8438
12 Cd 0.2651 0.2651 0.5000
13 Cd 0.2651 0.5000 0.2651
14 Cd 0.2651 0.5000 0.7349
15 Cd 0.2651 0.7349 0.5000
16 Cd 0.3440 0.0000 0.3440
17 Cd 0.3440 0.0000 0.6560
18 Cd 0.3440 0.3440 0.0000
19 Cd 0.3440 0.6560 0.0000
20 Cd 0.5000 0.2651 0.2651
21 Cd 0.5000 0.2651 0.7349
22 Cd 0.5000 0.5000 0.5000
23 Cd 0.5000 0.7349 0.2651
24 Cd 0.5000 0.7349 0.7349
25 Cd 0.6560 0.0000 0.3440
26 Cd 0.6560 0.0000 0.6560
27 Cd 0.6560 0.3440 0.0000
28 Cd 0.6560 0.6560 0.0000
29 Cd 0.7349 0.2651 0.5000
30 Cd 0.7349 0.5000 0.2651
31 Cd 0.7349 0.5000 0.7349
32 Cd 0.7349 0.7349 0.5000
33 Cd 0.8438 0.1562 0.1562
34 Cd 0.8438 0.1562 0.8438
35 Cd 0.8438 0.8438 0.1562
36 Cd 0.8438 0.8438 0.8438

---

No. 3
Rb3Cd: theoretical X-ray diffraction stick pattern (Cu Kα (λ = 1.5418 Å)), based on a DFT-relaxed cell (GGA-PBE, OQMD).
No peak broadening, texture or thermal motion is included.

Most intense lines, 2θ from 5° to 70°, by angle:
2θ (°)	I_rel
15.87	1
26.06	100
37.19	19
45.95	31
46.08	10
53.54	7
53.68	6
60.56	18
66.99	3
67.24	1

Cell lengths 6.8293, 6.8293, 6.8293 Å; angles 60.16, 60.16, 60.16 degrees
Sites, in units of the cell vectors:
1 Rb 0.0000 0.0000 0.0000
2 Rb 0.2510 0.2510 0.2510
3 Rb 0.7490 0.7490 0.7490
4 Cd 0.5000 0.5000 0.5000